For Ac3TbRh2, a crystal structure in Alexandria, relaxed with GGA-PBE gives the calculated PXRD pattern in this record (Cu Ka).
Lines closer than 0.1° are merged.

Structural model:
```
Ac3TbRh2
1.0
8.9266 -2.1617 0.0000
8.9266 2.1617 0.0000
-7.4692 0.0000 10.7308
Ac Tb Rh
6 2 4
Direct
0.0606 0.0606 0.1931
0.1823 0.1823 0.5615
0.3151 0.3151 0.9475
0.6849 0.6849 0.0525
0.8177 0.8177 0.4385
0.9394 0.9394 0.8069
0.4440 0.4440 0.3094
0.5560 0.5560 0.6906
0.1236 0.1236 0.8614
0.3753 0.3753 0.6222
0.6247 0.6247 0.3778
0.8764 0.8764 0.1386
```

Top 6 peaks for 2θ = 5–70°, low angle first:
| two_theta | I/Imax |
| --- | --- |
| 13.8 | 143 |
| 25.6 | 528 |
| 30.3 | 1000 |
| 41.9 | 425 |
| 44.8 | 329 |
| 52.5 | 216 |



For Mg2Zr2Pd5, a crystal structure in Alexandria, relaxed with GGA-PBE gives the calculated PXRD pattern in this record (Cu Ka).
Lines closer than 0.1° are merged.

Structural model:
```
Mg2Zr2Pd5
1.0
-7.6319 3.8099 2.8638
7.6319 -3.8099 2.8638
7.6319 3.8099 -2.8638
Mg Zr Pd
4 4 10
Direct
0.0648 0.0851 0.1499
0.0648 0.4149 0.4798
0.9352 0.5851 0.5202
0.9352 0.9149 0.8501
0.2958 0.6497 0.1462
0.4848 0.4848 0.0000
0.4848 0.9848 0.5000
0.5035 0.1497 0.8538
0.4522 0.2606 0.5071
0.4522 0.4451 0.6917
0.4735 0.1251 0.1619
0.4735 0.8116 0.8484
0.7534 0.7605 0.3083
0.7534 0.9451 0.4929
0.8820 0.1819 0.2001
0.9632 0.3116 0.8381
0.9632 0.6251 0.1516
0.9818 0.6819 0.7999
```

Top 6 peaks for 2θ = 5–70°, low angle first:
| two_theta | I/Imax |
| --- | --- |
| 31.6 | 383 |
| 33.2 | 559 |
| 37.9 | 457 |
| 39.3 | 1000 |
| 39.7 | 456 |
| 40.6 | 563 |



For HfU2Se8, a crystal structure in Alexandria, relaxed with GGA-PBE gives the calculated PXRD pattern in this record (Cu Ka).
Lines closer than 0.1° are merged.

Structural model:
```
HfU2Se8
1.0
7.2625 0.0000 0.0000
-3.6312 6.2895 0.0000
0.0000 0.0000 9.2348
Hf U Se
1 2 8
Direct
0.0000 0.0000 0.0000
0.3333 0.6667 0.6676
0.6667 0.3333 0.3324
0.1628 0.3256 0.8227
0.1628 0.8372 0.8227
0.3256 0.1628 0.1773
0.3333 0.6667 0.3894
0.6667 0.3333 0.6106
0.6744 0.8372 0.8227
0.8372 0.1628 0.1773
0.8372 0.6744 0.1773
```

Top 6 peaks for 2θ = 5–70°, low angle first:
| two_theta | I/Imax |
| --- | --- |
| 17.1 | 1000 |
| 24.5 | 292 |
| 34.5 | 285 |
| 38.3 | 348 |
| 39.1 | 258 |
| 48.9 | 187 |



For TlCd2O2, a crystal structure in Alexandria, relaxed with GGA-PBE gives the calculated PXRD pattern in this record (Cu Ka).
Lines closer than 0.1° are merged.

Structural model:
```
TlCd2O2
1.0
6.2182 0.0000 0.0000
-2.3578 5.7558 0.0000
-1.8587 -2.7409 5.4023
Tl Cd O
2 4 4
Direct
0.0962 0.4052 0.2503
0.9038 0.5948 0.7497
0.2382 0.2623 0.7497
0.4513 0.0483 0.2497
0.5487 0.9517 0.7503
0.7618 0.7377 0.2503
0.2055 0.9269 0.4349
0.4253 0.7052 0.9348
0.5747 0.2948 0.0652
0.7945 0.0731 0.5651
```

Top 6 peaks for 2θ = 5–70°, low angle first:
| two_theta | I/Imax |
| --- | --- |
| 30.2 | 1000 |
| 31.1 | 454 |
| 33.2 | 289 |
| 38.1 | 217 |
| 38.2 | 215 |
| 48.0 | 193 |